Diffraction record for LiLa4MnO8. The powder diffraction line list is calculated, not measured: it uses a cell relaxed with PBE+U and Cu Kα, 1.54184 Å.
Peak positions follow from Bragg's law for the DFT cell and can differ from measured ones.

Peak list (6 most intense, 10° ≤ 2θ ≤ 90°, low angle first)
- 24.3°, rel. 66
- 31.6°, rel. 100
- 33.1°, rel. 80
- 44.0°, rel. 58
- 47.4°, rel. 41
- 58.1°, rel. 37

Crystal structure
```
LiLa4MnO8
1.0
-2.7100 2.7100 12.6209
2.7100 -2.7100 12.6209
2.7100 2.7100 -12.6209
Li La Mn O
2 8 2 16
direct
0.3750 0.6250 0.7500
0.6250 0.3750 0.2500
0.0574 0.3074 0.7500
0.1935 0.4435 0.7500
0.3074 0.0574 0.2500
0.4435 0.1935 0.2500
0.5565 0.8065 0.7500
0.6926 0.9426 0.7500
0.8065 0.5565 0.2500
0.9426 0.6926 0.2500
0.1250 0.8750 0.2500
0.8750 0.1250 0.7500
0.0405 0.7905 0.2500
0.1228 0.3728 0.2456
0.1228 0.8772 0.7500
0.2095 0.9595 0.2500
0.2841 0.5341 0.7500
0.3728 0.1228 0.7456
0.3728 0.6272 0.2500
0.4659 0.7159 0.7500
0.5341 0.2841 0.2500
0.6272 0.3728 0.7500
0.6272 0.8772 0.2544
0.7159 0.4659 0.2500
0.7905 0.0405 0.7500
0.8772 0.1228 0.2500
0.8772 0.6272 0.7544
0.9595 0.2095 0.7500
```